Calculated powder XRD pattern of Cd5Hg2 for copper Kα, from a crystal structure in Alexandria, relaxed with PBE.

Peak list (12 most intense, 10 to 90 degrees two-theta, low angle first)
2θ = 31.65°, I 100
2θ = 37.92°, I 61
2θ = 38.04°, I 61
2θ = 45.16°, I 19
2θ = 45.57°, I 18
2θ = 60.41°, I 15
2θ = 60.55°, I 15
2θ = 60.73°, I 30
2θ = 66.09°, I 12
2θ = 72.39°, I 9
2θ = 72.52°, I 9
2θ = 74.83°, I 8

Crystal structure
```
Cd5Hg2
1.0
4.8512 -1.9907 0.0000
4.8512 1.9907 0.0000
-0.6666 0.0000 8.5197
Cd Hg
5 2
Cartesian
0.0000 0.0000 0.0000
0.9958 0.0000 4.8834
2.6862 0.0000 1.1898
6.3496 0.0000 7.3300
8.0399 0.0000 3.6364
3.6791 0.0000 6.0733
5.3567 0.0000 2.4464
```